[1]
This entry pairs a crystal structure of PaPt6Rh2 with its theoretical powder diffractogram. Radiation: CuKα. Structure: a structure optimized by DFT (PBE).
Lines closer than 0.1° are merged.

The 10 most intense peaks (15° ≤ 2θ ≤ 90°), low angle first:
(3 1 -2), 2θ = 38.56°, intensity 100; (3 1 1), 2θ = 38.72°, intensity 99; (6 0 -1), 2θ = 44.20°, intensity 34; (0 2 0), 2θ = 45.10°, intensity 32; (0 0 3), 2θ = 45.44°, intensity 31; (6 2 -1), 2θ = 65.00°, intensity 33; (0 2 3), 2θ = 65.95°, intensity 21; (9 1 -3), 2θ = 77.44°, intensity 13; (9 1 0), 2θ = 77.75°, intensity 13; (3 3 -2), 2θ = 78.83°, intensity 13

Cell and atoms:
a = 12.2939 Å, b = 4.0207 Å, c = 6.3409 Å
α = 90.00°, β = 109.21°, γ = 90.00°
Space group C2/m (No. 12)
Unique sites:
Pa 0.0000 0.0000 0.0000 x2
Pt 0.1102 0.0000 0.6653 x4
Pt 0.1668 0.5000 0.0056 x4
Pt 0.2261 0.0000 0.3389 x4
Rh 0.0512 0.5000 0.3296 x4



[2]
This entry pairs a crystal structure of Pa2SnPtRh5 with its theoretical powder diffractogram. Radiation: CuKα. Structure: a structure optimized by DFT (PBE).
Lines closer than 0.1° are merged.

The 10 most intense peaks (15° ≤ 2θ ≤ 90°), low angle first:
(1 1 0), 2θ = 15.38°, intensity 28; (2 2 0), 2θ = 31.04°, intensity 65; (3 1 0), 2θ = 34.82°, intensity 27; (2 1 3), 2θ = 35.32°, intensity 100; (3 1 2), 2θ = 38.84°, intensity 47; (2 0 4), 2θ = 40.51°, intensity 64; (3 2 1), 2θ = 40.82°, intensity 33; (4 0 2), 2θ = 47.81°, intensity 39; (2 1 5), 2θ = 49.62°, intensity 28; (0 0 8), 2θ = 70.89°, intensity 26

Cell and atoms:
a = 8.1480 Å, b = 8.1480 Å, c = 10.6381 Å
α = 90.00°, β = 90.00°, γ = 90.00°
Space group I4/mcm (No. 140)
Unique sites:
Pa 0.1325 0.3675 0.0000 x8
Sn 0.0000 0.0000 0.2500 x4
Pt 0.0000 0.5000 0.2500 x4
Rh 0.0000 0.0000 0.0000 x4
Rh 0.2017 0.2983 0.3655 x16



[3]
This entry pairs a crystal structure of Th2PaPtRh5 with its theoretical powder diffractogram. Radiation: CuKα. Structure: a structure optimized by DFT (PBE).
Lines closer than 0.1° are merged.

The 10 most intense peaks (15° ≤ 2θ ≤ 90°), low angle first:
(2 0 2), 2θ = 27.06°, intensity 29; (2 2 0), 2θ = 29.95°, intensity 72; (3 1 0), 2θ = 33.59°, intensity 47; (2 1 3), 2θ = 34.86°, intensity 100; (3 1 2), 2θ = 37.78°, intensity 22; (3 2 1), 2θ = 39.44°, intensity 26; (2 0 4), 2θ = 40.31°, intensity 64; (4 0 2), 2θ = 46.35°, intensity 42; (2 1 5), 2θ = 49.46°, intensity 22; (4 2 4), 2θ = 60.30°, intensity 26

Cell and atoms:
a = 8.4376 Å, b = 8.4376 Å, c = 10.5581 Å
α = 90.00°, β = 90.00°, γ = 90.00°
Space group I4/mcm (No. 140)
Unique sites:
Th 0.1346 0.3654 0.0000 x8
Pa 0.0000 0.0000 0.2500 x4
Pt 0.0000 0.5000 0.2500 x4
Rh 0.0000 0.0000 0.0000 x4
Rh 0.1933 0.3067 0.3611 x16



[4]
This entry pairs a crystal structure of Pa2RuPt with its theoretical powder diffractogram. Radiation: CuKα. Structure: a structure optimized by DFT (PBE).
Lines closer than 0.1° are merged.

The 10 most intense peaks (15° ≤ 2θ ≤ 90°), low angle first:
(1 2 0), 2θ = 28.08°, intensity 54; (1 1 1), 2θ = 28.88°, intensity 100; (2 2 0), 2θ = 39.26°, intensity 39; (2 1 1), 2θ = 39.86°, intensity 76; (0 3 1), 2θ = 41.57°, intensity 70; (0 0 2), 2θ = 43.26°, intensity 31; (1 2 2), 2θ = 52.37°, intensity 20; (3 1 1), 2θ = 54.01°, intensity 17; (2 2 2), 2θ = 59.83°, intensity 23; (4 3 1), 2θ = 80.08°, intensity 20

Cell and atoms:
a = 5.7463 Å, b = 7.6265 Å, c = 4.1831 Å
α = 90.00°, β = 90.00°, γ = 90.00°
Space group Pnnm (No. 58)
Unique sites:
Pa 0.2347 0.1664 0.0000 x4
Ru 0.0000 0.0000 0.5000 x2
Pt 0.0000 0.5000 0.0000 x2



[5]
This entry pairs a crystal structure of PaZnRuPt with its theoretical powder diffractogram. Radiation: CuKα. Structure: a structure optimized by DFT (PBE).
Lines closer than 0.1° are merged.

The 10 most intense peaks (15° ≤ 2θ ≤ 90°), low angle first:
(1 0 1), 2θ = 23.65°, intensity 29; (1 1 2), 2θ = 37.75°, intensity 100; (2 0 0), 2θ = 41.67°, intensity 38; (0 0 4), 2θ = 48.05°, intensity 13; (2 1 1), 2θ = 48.46°, intensity 9; (2 2 0), 2θ = 60.39°, intensity 13; (2 0 4), 2θ = 65.45°, intensity 20; (3 1 2), 2θ = 73.46°, intensity 29; (2 2 4), 2θ = 80.64°, intensity 11; (1 1 6), 2θ = 82.67°, intensity 11

Cell and atoms:
a = 4.3354 Å, b = 4.3354 Å, c = 7.5742 Å
α = 90.00°, β = 90.00°, γ = 90.00°
Space group I-4m2 (No. 119)
Unique sites:
Pa 0.0000 0.0000 0.0000 x2
Zn 0.0000 0.0000 0.5000 x2
Ru 0.0000 0.5000 0.7500 x2
Pt 0.0000 0.5000 0.2500 x2



[6]
This entry pairs a crystal structure of Pa2SbPt3 with its theoretical powder diffractogram. Radiation: CuKα. Structure: a structure optimized by DFT (PBE).
Lines closer than 0.1° are merged.

The 10 most intense peaks (15° ≤ 2θ ≤ 90°), low angle first:
(2 2 0), 2θ = 18.79°, intensity 16; (2 2 2), 2θ = 23.07°, intensity 20; (4 2 2), 2θ = 32.85°, intensity 9; (4 4 0), 2θ = 38.11°, intensity 100; (6 2 2), 2θ = 45.02°, intensity 11; (6 4 2), 2θ = 51.18°, intensity 4; (8 0 0), 2θ = 55.00°, intensity 17; (6 6 2), 2θ = 60.42°, intensity 5; (8 4 4), 2θ = 68.88°, intensity 35; (8 8 0), 2θ = 81.54°, intensity 11

Cell and atoms:
a = 13.3568 Å, b = 13.3568 Å, c = 13.3568 Å
α = 90.00°, β = 90.00°, γ = 90.00°
Space group Fd-3m (No. 227, origin choice 2)
Unique sites:
Pa 0.0016 0.0016 0.2484 x32
Sb 0.0000 0.0000 0.5000 x16
Pt 0.1153 0.3750 0.3750 x48